1.
La4CdAg3: computed X-ray powder pattern (Cu Ka), based on a DFT-relaxed cell (GGA-PBE, Alexandria).
Peak positions follow from Bragg's law for the DFT cell and can differ from measured ones.

Structural model:
abc: 3.9131 4.9774 12.0046
angles: 90.00 90.00 90.00
Space group Pmm2 (No. 25)
Unique sites:
La: 0.0000 0.0000 0.0000 [1 per cell]
La: 0.0000 0.5000 0.2831 [1 per cell]
La: 0.5000 0.0000 0.4868 [1 per cell]
La: 0.5000 0.5000 0.7924 [1 per cell]
Cd: 0.0000 0.0000 0.7130 [1 per cell]
Ag: 0.0000 0.5000 0.5645 [1 per cell]
Ag: 0.5000 0.0000 0.2138 [1 per cell]
Ag: 0.5000 0.5000 0.0685 [1 per cell]

Main lines, in order of falling intensity (10° ≤ 2θ ≤ 80°):
- hkl 1 1 1, 2θ 30.0, intensity 100
- hkl 1 1 3, 2θ 36.9, intensity 58
- hkl 0 1 4, 2θ 34.9, intensity 43
- hkl 0 2 0, 2θ 36.1, intensity 37
- hkl 1 0 3, 2θ 32.0, intensity 36
- hkl 1 2 3, 2θ 49.0, intensity 22
- hkl 0 0 4, 2θ 29.8, intensity 21
- hkl 1 2 7, 2θ 71.0, intensity 19
- hkl 2 0 0, 2θ 46.4, intensity 18
- hkl 2 1 4, 2θ 59.4, intensity 18


2.
Cs2Rb3Cl5: computed X-ray powder pattern (Cu Ka), based on a DFT-relaxed cell (GGA-PBE, Alexandria).
Peak positions follow from Bragg's law for the DFT cell and can differ from measured ones.

Structural model:
abc: 17.2246 4.7749 12.3117
angles: 90.00 125.85 90.00
Space group C2/m (No. 12)
Unique sites:
Cs: 0.1744 0.0000 0.2733 [4 per cell]
Rb: 0.0000 0.0000 0.5000 [2 per cell]
Rb: 0.1149 0.5000 0.8741 [4 per cell]
Cl: 0.0000 0.5000 0.0000 [2 per cell]
Cl: 0.0947 0.5000 0.4118 [4 per cell]
Cl: 0.2049 0.0000 0.8049 [4 per cell]

Main lines, in order of falling intensity (10° ≤ 2θ ≤ 80°):
- hkl 3 1 -2, 2θ 25.1, intensity 100
- hkl 1 1 1, 2θ 23.1, intensity 53
- hkl 0 2 0, 2θ 37.7, intensity 51
- hkl 2 0 2, 2θ 27.4, intensity 48
- hkl 5 1 0, 2θ 37.3, intensity 27
- hkl 6 0 -4, 2θ 34.0, intensity 21
- hkl 2 2 2, 2θ 47.2, intensity 20
- hkl 2 0 -3, 2θ 21.9, intensity 17
- hkl 4 0 -1, 2θ 21.5, intensity 16
- hkl 5 1 -1, 2θ 33.5, intensity 15


3.
Be2Zn2CuPt5: computed X-ray powder pattern (Cu Ka), based on a DFT-relaxed cell (GGA-PBE, Alexandria).
Peak positions follow from Bragg's law for the DFT cell and can differ from measured ones.

Structural model:
abc: 9.1872 9.1872 3.2721
angles: 90.00 90.00 90.00
Space group P4/mbm (No. 127)
Unique sites:
Be: 0.1293 0.3707 0.0000 [4 per cell]
Zn: 0.1728 0.6728 0.0000 [4 per cell]
Cu: 0.0000 0.0000 0.0000 [2 per cell]
Pt: 0.0000 0.5000 0.5000 [2 per cell]
Pt: 0.0785 0.2042 0.5000 [8 per cell]

Main lines, in order of falling intensity (10° ≤ 2θ ≤ 80°):
- hkl 3 1 1, 2θ 41.6, intensity 100
- hkl 4 1 0, 2θ 40.5, intensity 62
- hkl 0 0 1, 2θ 27.3, intensity 60
- hkl 3 2 1, 2θ 45.1, intensity 45
- hkl 2 1 1, 2θ 35.1, intensity 44
- hkl 3 2 0, 2θ 35.2, intensity 36
- hkl 5 5 1, 2θ 79.3, intensity 34
- hkl 4 2 0, 2θ 44.1, intensity 32
- hkl 3 1 0, 2θ 30.8, intensity 29
- hkl 4 1 1, 2θ 49.5, intensity 28


4.
Mg6NbSiO8: computed X-ray powder pattern (Cu Ka), based on a DFT-relaxed cell (GGA-PBE, Alexandria).
Peak positions follow from Bragg's law for the DFT cell and can differ from measured ones.

Structural model:
abc: 4.3280 4.3280 8.8406
angles: 90.00 90.00 90.00
Space group P4/mmm (No. 123)
Unique sites:
Mg: 0.0000 0.0000 0.0000 [1 per cell]
Mg: 0.0000 0.5000 0.2419 [4 per cell]
Mg: 0.5000 0.5000 0.0000 [1 per cell]
Nb: 0.0000 0.0000 0.5000 [1 per cell]
Si: 0.5000 0.5000 0.5000 [1 per cell]
O: 0.0000 0.0000 0.2357 [2 per cell]
O: 0.0000 0.5000 0.0000 [2 per cell]
O: 0.0000 0.5000 0.5000 [2 per cell]
O: 0.5000 0.5000 0.2373 [2 per cell]

Main lines, in order of falling intensity (10° ≤ 2θ ≤ 80°):
- hkl 2 0 0, 2θ 41.7, intensity 100
- hkl 2 0 4, 2θ 59.8, intensity 59
- hkl 0 0 4, 2θ 40.8, intensity 52
- hkl 1 1 2, 2θ 35.7, intensity 41
- hkl 0 0 1, 2θ 10.0, intensity 38
- hkl 2 2 0, 2θ 60.5, intensity 31
- hkl 2 2 4, 2θ 75.6, intensity 27
- hkl 1 0 1, 2θ 22.9, intensity 26
- hkl 1 0 0, 2θ 20.5, intensity 17
- hkl 1 0 2, 2θ 28.9, intensity 15


5.
CsSn4O8: computed X-ray powder pattern (Cu Ka), based on a DFT-relaxed cell (GGA-PBE, Alexandria).
Peak positions follow from Bragg's law for the DFT cell and can differ from measured ones.

Structural model:
abc: 15.4807 3.3277 10.9445
angles: 90.00 134.94 90.00
Space group C2/m (No. 12)
Unique sites:
Cs: 0.0000 0.0000 0.0000 [2 per cell]
Sn: 0.1513 0.0000 0.4883 [4 per cell]
Sn: 0.1628 0.5000 0.8144 [4 per cell]
O: 0.0409 0.0000 0.7079 [4 per cell]
O: 0.1564 0.5000 0.3648 [4 per cell]
O: 0.1662 0.5000 0.6254 [4 per cell]
O: 0.2087 0.5000 0.0525 [4 per cell]

Main lines, in order of falling intensity (10° ≤ 2θ ≤ 80°):
- hkl 2 0 -3, 2θ 25.7, intensity 100
- hkl 3 1 -1, 2θ 32.5, intensity 85
- hkl 7 1 -2, 2θ 52.8, intensity 43
- hkl 5 1 -4, 2θ 43.6, intensity 35
- hkl 1 1 4, 2θ 60.9, intensity 25
- hkl 6 0 -6, 2θ 50.0, intensity 21
- hkl 2 2 -3, 2θ 61.9, intensity 18
- hkl 2 0 2, 2θ 36.7, intensity 17
- hkl 4 0 -2, 2θ 23.0, intensity 16
- hkl 3 1 0, 2θ 36.5, intensity 16


6.
Y2Er2Ag3: computed X-ray powder pattern (Cu Ka), based on a DFT-relaxed cell (GGA-PBE, Alexandria).
Peak positions follow from Bragg's law for the DFT cell and can differ from measured ones.

Structural model:
abc: 8.7865 5.0602 8.8032
angles: 90.00 109.65 90.00
Space group C2/m (No. 12)
Unique sites:
Y: 0.1261 0.0000 0.3791 [4 per cell]
Er: 0.1236 0.5000 0.8708 [4 per cell]
Ag: 0.0000 0.0000 0.0000 [2 per cell]
Ag: 0.2480 0.5000 0.2463 [4 per cell]

Main lines, in order of falling intensity (10° ≤ 2θ ≤ 80°):
- hkl 3 1 -1, 2θ 35.4, intensity 100
- hkl 0 0 1, 2θ 10.7, intensity 21
- hkl 0 2 0, 2θ 35.5, intensity 20
- hkl 6 0 -2, 2θ 63.6, intensity 17
- hkl 3 3 -1, 2θ 63.7, intensity 14
- hkl 2 2 2, 2θ 51.0, intensity 14
- hkl 4 2 -4, 2θ 63.5, intensity 11
- hkl 1 1 -2, 2θ 27.1, intensity 8
- hkl 4 0 -4, 2θ 50.8, intensity 7
- hkl 6 2 -2, 2θ 74.9, intensity 6